1.
This entry pairs a crystal structure of CaAl10Cr2 with its computed X-ray powder pattern. Radiation: copper Kα. Structure: a crystal structure in the Materials Project, relaxed with PBE.
Neutral-atom scattering factors, no anomalous dispersion.

Peak list (6 most intense, 2θ = 5–70°, in order of rising 2θ)
Position (°2θ)	I/Imax
34.3	40
39.6	84
39.7	83
40.2	100
44.5	42
45.0	76

Structural model:
```
52
Lattice="12.878 0.000 0.000 0.000 12.878 0.000 0.000 0.000 5.159" Properties=species:S:1:pos:R:3 pbc="T T T"
Ca 3.220 3.220 0.097
Ca 3.220 9.659 2.580
Ca 9.659 3.220 2.580
Ca 9.659 9.659 5.062
Al 0.143 3.220 1.284
Al 0.971 0.971 5.063
Al 0.971 5.469 5.063
Al 0.976 7.415 2.580
Al 0.976 11.902 2.580
Al 1.757 8.196 0.000
Al 1.757 11.121 0.000
Al 1.813 1.813 2.770
Al 1.813 4.626 2.770
Al 3.220 0.143 1.284
Al 3.220 6.296 1.284
Al 4.626 1.813 2.770
Al 4.626 4.626 2.770
Al 4.682 8.196 0.000
Al 4.682 11.121 0.000
Al 5.463 7.415 2.580
Al 5.463 11.902 2.580
Al 5.469 0.971 5.063
Al 5.469 5.469 5.063
Al 6.296 3.220 1.284
Al 6.582 9.659 3.875
Al 7.410 7.410 0.096
Al 7.410 11.908 0.096
Al 7.415 0.976 2.580
Al 7.415 5.463 2.580
Al 8.196 1.757 0.000
Al 8.196 4.682 0.000
Al 8.252 8.252 2.389
Al 8.252 11.065 2.389
Al 9.659 6.582 3.875
Al 9.659 12.735 3.875
Al 11.065 8.252 2.389
Al 11.065 11.065 2.389
Al 11.121 1.757 0.000
Al 11.121 4.682 0.000
Al 11.902 0.976 2.580
Al 11.902 5.463 2.580
Al 11.908 7.410 0.096
Al 11.908 11.908 0.096
Al 12.735 9.659 3.875
Cr 0.124 9.659 1.270
Cr 3.220 6.563 3.889
Cr 3.220 12.755 3.889
Cr 6.316 9.659 1.270
Cr 6.563 3.220 3.889
Cr 9.659 0.124 1.270
Cr 9.659 6.316 1.270
Cr 12.755 3.220 3.889
```


2.
This entry pairs a crystal structure of BaCa4Cu2N4 with its computed X-ray powder pattern. Radiation: copper Kα. Structure: a crystal structure in the Materials Project, relaxed with PBE.
Neutral-atom scattering factors, no anomalous dispersion.

Peak list (6 most intense, 2θ = 5–70°, in order of rising 2θ)
Position (°2θ)	I/Imax
17.8	61
28.0	64
30.5	27
32.3	83
34.2	100
49.2	25

Structural model:
```
44
Lattice="8.283 0.000 0.000 0.000 8.283 0.000 0.000 0.000 12.515" Properties=species:S:1:pos:R:3 pbc="T T T"
Ba 2.071 2.071 1.946
Ba 2.071 2.071 8.204
Ba 6.212 6.212 4.311
Ba 6.212 6.212 10.569
Ca 0.689 5.226 1.093
Ca 0.689 7.198 7.350
Ca 1.085 4.830 5.165
Ca 1.085 7.594 11.422
Ca 3.057 4.830 11.422
Ca 3.057 7.594 5.165
Ca 3.453 5.226 7.350
Ca 3.453 7.198 1.093
Ca 4.830 1.085 11.422
Ca 4.830 3.057 5.165
Ca 5.226 0.689 7.350
Ca 5.226 3.453 1.093
Ca 7.198 0.689 1.093
Ca 7.198 3.453 7.350
Ca 7.594 1.085 5.165
Ca 7.594 3.057 11.422
Cu 0.803 4.945 9.386
Cu 0.803 7.480 3.129
Cu 3.338 4.945 3.129
Cu 3.338 7.480 9.386
Cu 4.945 0.803 3.129
Cu 4.945 3.338 9.386
Cu 7.480 0.803 9.386
Cu 7.480 3.338 3.129
N 0.576 5.172 11.225
N 0.576 7.253 4.967
N 1.030 4.717 7.548
N 1.030 7.707 1.290
N 3.111 4.717 1.290
N 3.111 7.707 7.548
N 3.566 5.172 4.967
N 3.566 7.253 11.225
N 4.717 1.030 1.290
N 4.717 3.111 7.548
N 5.172 0.576 4.967
N 5.172 3.566 11.225
N 7.253 0.576 11.225
N 7.253 3.566 4.967
N 7.707 1.030 7.548
N 7.707 3.111 1.290
```


3.
This entry pairs a crystal structure of AgC2O2 with its computed X-ray powder pattern. Radiation: copper Kα. Structure: a crystal structure in the Materials Project, relaxed with PBE.
Neutral-atom scattering factors, no anomalous dispersion.

Peak list (6 most intense, 2θ = 5–70°, in order of rising 2θ)
Position (°2θ)	I/Imax
12.7	71
16.8	100
25.6	65
25.8	66
30.6	68
36.2	66

Structural model:
```
40
Lattice="10.480 -3.714 0.000 10.480 3.714 0.000 -2.292 0.000 7.186" Properties=species:S:1:pos:R:3 pbc="T T T"
Ag 1.383 0.130 1.316
Ag 0.237 -0.130 4.909
Ag 5.855 1.487 4.144
Ag 11.667 1.487 6.635
Ag 7.001 -1.487 0.551
Ag 12.813 -1.487 3.042
Ag 18.431 0.130 2.277
Ag 17.285 -0.130 5.870
C 13.643 -1.894 6.167
C 5.025 1.894 1.019
C 2.023 1.414 7.007
C 9.239 1.031 3.690
C 8.283 1.031 7.089
C 3.169 -1.414 3.414
C 7.377 0.014 6.530
C 8.523 -0.014 2.937
C 14.788 1.894 2.574
C 3.879 -1.894 4.612
C 10.145 0.014 4.249
C 11.290 -0.014 0.656
C 15.499 1.414 3.772
C 10.385 -1.031 0.097
C 9.429 -1.031 3.496
C 16.645 -1.414 0.179
O 3.453 1.776 4.942
O 0.900 0.867 6.815
O 9.134 2.284 3.811
O 8.388 2.284 6.967
O 2.046 -0.867 3.222
O 6.393 0.016 5.744
O 7.539 -0.016 2.151
O 4.599 -1.776 1.349
O 14.069 1.776 5.837
O 11.129 0.016 5.035
O 12.275 -0.016 1.442
O 16.622 0.867 3.964
O 10.279 -2.284 0.218
O 9.534 -2.284 3.375
O 17.767 -0.867 0.371
O 15.214 -1.776 2.244
```


4.
This entry pairs a crystal structure of Be2NCl5 with its computed X-ray powder pattern. Radiation: copper Kα. Structure: a crystal structure in the Materials Project, relaxed with PBE.
Neutral-atom scattering factors, no anomalous dispersion.

Peak list (6 most intense, 2θ = 5–70°, in order of rising 2θ)
Position (°2θ)	I/Imax
21.6	22
30.7	49
32.6	100
37.8	15
54.5	40
65.0	20

Structural model:
```
32
Lattice="0.000 7.138 7.138 7.138 0.000 7.138 7.138 7.138 0.000" Properties=species:S:1:pos:R:3 pbc="T T T"
Be 11.324 6.523 6.523
Be 2.953 2.953 2.953
Be 7.754 7.754 2.953
Be 7.754 2.953 7.754
Be 6.523 11.324 6.523
Be 6.523 6.523 11.324
Be 11.324 11.324 11.324
Be 2.953 7.754 7.754
N 7.138 3.569 3.569
N 3.569 7.138 3.569
N 3.569 3.569 7.138
N 7.138 7.138 7.138
Cl 5.354 5.354 0.584
Cl 5.354 0.584 5.354
Cl 10.124 5.354 5.354
Cl 4.099 4.099 4.099
Cl 6.608 6.608 4.099
Cl 6.608 4.099 6.608
Cl 8.923 8.923 4.153
Cl 8.923 4.153 8.923
Cl 13.693 8.923 8.923
Cl 10.178 7.669 7.669
Cl 4.099 6.608 6.608
Cl 0.584 5.354 5.354
Cl 5.354 10.124 5.354
Cl 5.354 5.354 10.124
Cl 7.669 10.178 7.669
Cl 7.669 7.669 10.178
Cl 10.178 10.178 10.178
Cl 4.153 8.923 8.923
Cl 8.923 13.693 8.923
Cl 8.923 8.923 13.693
```


5.
This entry pairs a crystal structure of K3Sm4Cu5Te10 with its computed X-ray powder pattern. Radiation: copper Kα. Structure: a crystal structure in the Materials Project, relaxed with PBE.
Neutral-atom scattering factors, no anomalous dispersion.

Peak list (6 most intense, 2θ = 5–70°, in order of rising 2θ)
Position (°2θ)	I/Imax
7.2	100
23.4	65
27.7	74
29.9	48
34.1	56
41.1	79

Structural model:
```
44
Lattice="4.390 0.000 0.000 0.000 16.718 0.000 0.000 0.000 18.080" Properties=species:S:1:pos:R:3 pbc="T T T"
K 0.000 1.287 0.000
K 0.000 4.186 15.138
K 0.000 7.050 12.206
K 2.195 9.668 3.166
K 2.195 12.531 6.098
K 2.195 15.431 9.040
Sm 0.000 3.108 10.016
Sm 0.000 5.297 2.235
Sm 0.000 9.033 16.130
Sm 0.000 16.125 14.236
Sm 2.195 0.593 5.196
Sm 2.195 7.685 7.090
Sm 2.195 11.420 11.275
Sm 2.195 13.609 0.976
Cu 0.000 3.118 6.861
Cu 0.000 5.267 5.397
Cu 0.000 9.856 8.917
Cu 0.000 14.087 11.708
Cu 0.000 15.186 3.326
Cu 2.195 1.531 12.366
Cu 2.195 2.630 2.668
Cu 2.195 6.862 17.957
Cu 2.195 11.450 14.437
Cu 2.195 13.599 15.900
Te 0.000 0.276 11.302
Te 0.000 2.787 4.208
Te 0.000 5.590 7.985
Te 0.000 7.999 0.933
Te 0.000 9.741 6.265
Te 0.000 10.388 13.317
Te 0.000 12.566 2.836
Te 0.000 12.649 9.452
Te 0.000 14.696 16.969
Te 0.000 15.347 6.000
Te 2.195 1.371 15.040
Te 2.195 2.021 7.929
Te 2.195 4.068 0.412
Te 2.195 4.152 11.876
Te 2.195 6.329 4.277
Te 2.195 6.976 15.305
Te 2.195 8.718 9.973
Te 2.195 11.128 17.025
Te 2.195 13.931 13.248
Te 2.195 16.442 2.262
```


6.
This entry pairs a crystal structure of Mg14ZnMo with its computed X-ray powder pattern. Radiation: copper Kα. Structure: a crystal structure in the Materials Project, relaxed with PBE.
Neutral-atom scattering factors, no anomalous dispersion.

Peak list (6 most intense, 2θ = 5–70°, in order of rising 2θ)
Position (°2θ)	I/Imax
16.3	30
24.4	18
33.0	28
36.4	24
37.8	100
66.4	18

Structural model:
```
16
Lattice="6.271 0.000 0.000 -3.135 5.431 0.000 0.000 0.000 9.875" Properties=species:S:1:pos:R:3 pbc="T T T"
Mg 0.000 0.000 2.459
Mg 0.000 0.000 7.416
Mg -1.501 2.754 2.432
Mg -1.501 2.754 7.443
Mg 1.568 0.905 4.938
Mg 1.576 0.910 0.000
Mg 1.501 2.754 2.432
Mg 1.501 2.754 7.443
Mg 0.000 5.354 2.432
Mg 0.000 5.354 7.443
Mg 4.695 0.910 0.000
Mg 3.135 3.611 0.000
Mg 4.703 0.905 4.938
Mg 3.135 3.621 4.938
Zn 0.000 3.620 4.938
Mo 0.000 3.620 0.000
```